# 1
Diffraction record for LiTmAgPd. The powder diffractogram is computed, not measured: it uses the PBE geometry in Alexandria and Cu Kα X-rays.
No peak broadening, texture or thermal motion is included.

Cell and atoms:
```
LiTmAgPd
1.0
6.7297 0.0000 0.0000
0.0000 6.7297 0.0000
0.0000 0.0000 6.7297
Li Tm Ag Pd
4 4 4 4
Cartesian
0.0000 0.0000 0.0000
0.0000 3.3649 3.3649
3.3649 0.0000 3.3649
3.3649 3.3649 0.0000
0.0000 0.0000 3.3649
0.0000 3.3649 0.0000
3.3649 0.0000 0.0000
3.3649 3.3649 3.3649
1.6824 1.6824 1.6824
1.6824 5.0473 5.0473
5.0473 1.6824 5.0473
5.0473 5.0473 1.6824
1.6824 1.6824 5.0473
1.6824 5.0473 1.6824
5.0473 1.6824 1.6824
5.0473 5.0473 5.0473
```

Top 6 peaks for 2θ from 5° to 70°, in order of rising 2θ:
| d/Å | 2θ (°) | intensity |
| --- | --- | --- |
| 3.885 | 22.89 | 41.3 |
| 2.379 | 37.81 | 100.0 |
| 2.029 | 44.66 | 21.5 |
| 1.682 | 54.54 | 17.0 |
| 1.544 | 59.91 | 9.0 |
| 1.374 | 68.28 | 34.3 |

***

# 2
Diffraction record for Li9PmAg2. The powder diffractogram is computed, not measured: it uses the PBE geometry in Alexandria and Cu Kα X-rays.
No peak broadening, texture or thermal motion is included.

Cell and atoms:
```
Li9PmAg2
1.0
-5.6117 5.6117 3.6939
5.6117 -5.6117 3.6939
5.6117 5.6117 -3.6939
Li Pm Ag
18 2 4
Cartesian
3.3400 1.4552 -0.4742
7.8834 1.4552 -0.4742
4.2610 6.1458 -2.3211
1.3507 0.5341 1.3728
3.3400 4.1565 -0.4742
2.2717 -1.4552 3.2197
4.2610 0.5341 2.3211
6.9624 0.5341 2.3211
5.6117 2.8058 0.9235
0.0000 2.8058 2.7704
-1.3507 5.0776 1.3728
1.3507 5.0776 1.3728
3.3400 7.0669 0.4742
2.2717 1.4552 4.1681
4.2610 5.0776 2.3211
1.3507 -0.5341 6.0150
-2.2717 4.1565 4.1681
2.2717 4.1565 4.1681
5.6117 -2.8058 2.7704
0.0000 8.4175 0.9235
5.6117 0.0000 0.0000
-2.8058 2.8058 1.8470
0.0000 0.0000 3.6939
2.8058 2.8058 1.8470
```

Top 6 peaks for 2θ from 5° to 70°, in order of rising 2θ:
| d/Å | 2θ (°) | intensity |
| --- | --- | --- |
| 5.612 | 15.79 | 21.2 |
| 4.152 | 21.40 | 100.0 |
| 3.085 | 28.94 | 25.0 |
| 2.869 | 31.18 | 43.1 |
| 2.806 | 31.89 | 28.3 |
| 2.076 | 43.60 | 19.7 |

***

# 3
Diffraction record for Li2PmAg6. The powder diffractogram is computed, not measured: it uses the PBE geometry in Alexandria and Cu Kα X-rays.
No peak broadening, texture or thermal motion is included.

Cell and atoms:
```
Li2PmAg6
1.0
7.4225 -4.8466 0.0000
7.4225 4.8466 0.0000
0.0000 0.0000 4.7326
Li Pm Ag
4 2 12
Cartesian
3.2725 0.8319 1.1832
3.2725 -0.8319 3.5495
11.5724 0.8319 1.1832
11.5724 -0.8319 3.5495
7.4225 2.4376 3.5495
7.4225 -2.4376 1.1832
5.9706 3.8842 1.1832
4.3364 1.5631 3.5495
8.8743 3.8842 1.1832
5.9719 0.8674 1.1832
4.3364 -1.5631 1.1832
5.9719 -0.8674 3.5495
8.8730 0.8674 1.1832
10.5085 1.5631 3.5495
8.8730 -0.8674 3.5495
5.9706 -3.8842 3.5495
10.5085 -1.5631 1.1832
8.8743 -3.8842 3.5495
```

Top 6 peaks for 2θ from 5° to 70°, in order of rising 2θ:
| d/Å | 2θ (°) | intensity |
| --- | --- | --- |
| 2.947 | 30.33 | 25.7 |
| 2.626 | 34.14 | 89.2 |
| 2.434 | 36.92 | 100.0 |
| 2.366 | 38.03 | 46.2 |
| 1.985 | 45.71 | 15.7 |
| 1.379 | 67.98 | 15.7 |

***

# 4
Diffraction record for Li3PmAg4. The powder diffractogram is computed, not measured: it uses the PBE geometry in Alexandria and Cu Kα X-rays.
No peak broadening, texture or thermal motion is included.

Cell and atoms:
```
Li3PmAg4
1.0
9.4702 0.0000 0.0000
0.0000 6.6820 0.0000
0.0000 0.0000 4.9058
Li Pm Ag
6 2 8
Cartesian
0.0000 0.0000 0.0000
2.3675 0.0000 1.9219
2.3675 3.3410 2.3018
4.7351 0.0000 0.0000
7.1026 0.0000 2.9839
7.1026 3.3410 2.6039
0.0000 3.3410 0.0000
4.7351 3.3410 0.0000
0.0000 1.4459 2.4529
0.0000 5.2361 2.4529
2.3675 1.4210 4.3540
2.3675 5.2610 4.3540
4.7351 1.4459 2.4529
4.7351 5.2361 2.4529
7.1026 1.4210 0.5518
7.1026 5.2610 0.5518
```

Top 6 peaks for 2θ from 5° to 70°, in order of rising 2θ:
| d/Å | 2θ (°) | intensity |
| --- | --- | --- |
| 4.356 | 20.39 | 18.2 |
| 3.407 | 26.16 | 27.5 |
| 3.035 | 29.43 | 38.3 |
| 2.453 | 36.64 | 17.6 |
| 2.385 | 37.71 | 100.0 |
| 2.368 | 38.01 | 34.0 |

***

# 5
Diffraction record for LiPm4Ag5. The powder diffractogram is computed, not measured: it uses the PBE geometry in Alexandria and Cu Kα X-rays.
No peak broadening, texture or thermal motion is included.

Cell and atoms:
```
LiPm4Ag5
1.0
3.6384 0.0000 0.0000
0.0000 3.6384 0.0000
0.0000 0.0000 18.3069
Li Pm Ag
1 4 5
Cartesian
0.0000 0.0000 0.0000
0.0000 0.0000 3.3572
0.0000 0.0000 7.2251
0.0000 0.0000 11.0818
0.0000 0.0000 14.9498
1.8192 1.8192 1.4210
1.8192 1.8192 5.3021
1.8192 1.8192 9.1535
1.8192 1.8192 13.0048
1.8192 1.8192 16.8859
```

Top 6 peaks for 2θ from 5° to 70°, in order of rising 2θ:
| d/Å | 2θ (°) | intensity |
| --- | --- | --- |
| 2.848 | 31.41 | 22.7 |
| 2.581 | 34.76 | 100.0 |
| 2.573 | 34.87 | 60.4 |
| 1.819 | 50.15 | 21.1 |
| 1.596 | 57.78 | 13.3 |
| 1.487 | 62.46 | 35.2 |

***

# 6
Diffraction record for Li6Pm3Ag20. The powder diffractogram is computed, not measured: it uses the PBE geometry in Alexandria and Cu Kα X-rays.
No peak broadening, texture or thermal motion is included.

Cell and atoms:
```
Li6Pm3Ag20
1.0
0.0000 6.4337 6.4337
6.4337 0.0000 6.4337
6.4337 6.4337 0.0000
Li Pm Ag
6 3 20
Cartesian
6.4337 6.4337 2.9691
6.4337 2.9691 6.4337
9.8983 6.4337 6.4337
2.9691 6.4337 6.4337
6.4337 9.8983 6.4337
6.4337 6.4337 9.8983
3.2169 3.2169 3.2169
6.4337 6.4337 6.4337
9.6506 9.6506 9.6506
1.4840 1.4840 1.4840
4.9497 4.9497 1.4840
4.9497 1.4840 4.9497
6.4337 4.1922 4.1922
8.6753 6.4337 4.1922
8.6753 4.1922 6.4337
11.3834 7.9177 7.9177
4.1922 6.4337 4.1922
6.4337 8.6753 4.1922
4.1922 4.1922 6.4337
8.6753 8.6753 6.4337
6.4337 4.1922 8.6753
8.6753 6.4337 8.6753
1.4840 4.9497 4.9497
4.1922 8.6753 6.4337
4.1922 6.4337 8.6753
6.4337 8.6753 8.6753
7.9177 11.3834 7.9177
7.9177 7.9177 11.3834
11.3834 11.3834 11.3834
```

Top 6 peaks for 2θ from 5° to 70°, in order of rising 2θ:
| d/Å | 2θ (°) | intensity |
| --- | --- | --- |
| 2.877 | 31.08 | 26.6 |
| 2.627 | 34.14 | 35.2 |
| 2.476 | 36.28 | 100.0 |
| 2.275 | 39.62 | 24.3 |
| 2.175 | 41.52 | 23.5 |
| 1.516 | 61.11 | 30.3 |

***

# 7
Diffraction record for Li3PmAg2. The powder diffractogram is computed, not measured: it uses the PBE geometry in Alexandria and Cu Kα X-rays.
No peak broadening, texture or thermal motion is included.

Cell and atoms:
```
Li3PmAg2
1.0
7.0897 -2.2053 0.0000
7.0897 2.2053 0.0000
-4.5493 0.0000 7.7439
Li Pm Ag
6 2 4
Cartesian
-0.9815 0.0000 3.0655
1.9143 0.0000 3.4710
4.5549 0.0000 2.4279
5.0752 0.0000 5.3160
7.7157 0.0000 4.2728
10.6115 0.0000 4.6783
1.8314 0.0000 0.1150
7.7987 0.0000 7.6289
-0.4433 0.0000 5.6658
2.4741 0.0000 6.1982
7.1560 0.0000 1.5456
10.0734 0.0000 2.0781
```

Top 6 peaks for 2θ from 5° to 70°, in order of rising 2θ:
| d/Å | 2θ (°) | intensity |
| --- | --- | --- |
| 7.744 | 11.43 | 100.0 |
| 3.420 | 26.05 | 49.3 |
| 2.993 | 29.85 | 48.2 |
| 2.451 | 36.67 | 33.5 |
| 2.383 | 37.75 | 58.0 |
| 2.367 | 38.01 | 52.2 |

***

# 8
Diffraction record for Li2Pm2Ag3. The powder diffractogram is computed, not measured: it uses the PBE geometry in Alexandria and Cu Kα X-rays.
No peak broadening, texture or thermal motion is included.

Cell and atoms:
```
Li2Pm2Ag3
1.0
3.8837 0.0000 0.0000
0.0000 23.6538 0.0000
0.0000 0.0000 3.3042
Li Pm Ag
4 4 6
Cartesian
0.0000 5.1200 0.0000
0.0000 18.5339 0.0000
1.9419 6.7070 0.0000
1.9419 16.9469 0.0000
0.0000 1.9546 0.0000
0.0000 21.6993 0.0000
1.9419 9.8724 0.0000
1.9419 13.7815 0.0000
0.0000 7.8202 1.6521
0.0000 11.8269 1.6521
0.0000 15.8337 1.6521
1.9419 0.0000 1.6521
1.9419 4.0067 1.6521
1.9419 19.6471 1.6521
```

Top 6 peaks for 2θ from 5° to 70°, in order of rising 2θ:
| d/Å | 2θ (°) | intensity |
| --- | --- | --- |
| 11.827 | 7.47 | 68.7 |
| 3.002 | 29.76 | 84.2 |
| 2.549 | 35.20 | 50.7 |
| 2.532 | 35.45 | 90.4 |
| 2.502 | 35.88 | 100.0 |
| 1.541 | 60.04 | 37.8 |

***

# 9
Diffraction record for Li4PmAgSn2. The powder diffractogram is computed, not measured: it uses the PBE geometry in Alexandria and Cu Kα X-rays.
No peak broadening, texture or thermal motion is included.

Cell and atoms:
```
Li4PmAgSn2
1.0
2.3720 1.3695 8.2873
-2.3720 1.3695 8.2873
0.0000 -2.7390 8.2873
Li Pm Ag Sn
4 1 1 2
Cartesian
0.0000 0.0000 2.5434
0.0000 0.0000 9.1064
0.0000 0.0000 15.7556
0.0000 0.0000 22.3186
0.0000 0.0000 12.4310
0.0000 0.0000 0.0000
0.0000 0.0000 6.0397
0.0000 0.0000 18.8223
```

Top 6 peaks for 2θ from 5° to 70°, in order of rising 2θ:
| d/Å | 2θ (°) | intensity |
| --- | --- | --- |
| 3.427 | 26.00 | 100.0 |
| 2.479 | 36.24 | 46.0 |
| 2.372 | 37.93 | 44.3 |
| 1.950 | 46.56 | 20.9 |
| 1.560 | 59.21 | 18.9 |
| 1.507 | 61.56 | 18.2 |

***

# 10
Diffraction record for Li5Pr4Ag6. The powder diffractogram is computed, not measured: it uses the PBE geometry in Alexandria and Cu Kα X-rays.
No peak broadening, texture or thermal motion is included.

Cell and atoms:
```
Li5Pr4Ag6
1.0
2.1540 -11.2858 0.0000
2.1540 11.2858 0.0000
0.0000 0.0000 14.7588
Li Pr Ag
10 8 12
Cartesian
2.1540 10.5513 7.3794
2.1540 7.6934 11.9836
2.1540 7.4627 6.7090
2.1540 6.7898 1.4919
2.1540 4.4213 6.7744
2.1540 -4.4213 14.1538
2.1540 -6.7898 8.8713
2.1540 -7.4627 14.0884
2.1540 -7.6934 4.6042
2.1540 -10.5513 0.0000
2.1540 4.0616 11.5352
2.1540 2.8312 1.8578
2.1540 1.2472 9.2157
2.1540 0.9668 5.2732
2.1540 -0.9668 12.6526
2.1540 -1.2472 1.8363
2.1540 -2.8312 9.2372
2.1540 -4.0616 4.1558
2.1540 10.3952 10.3374
2.1540 9.6108 4.3519
2.1540 8.9166 14.5198
2.1540 6.1444 9.2292
2.1540 5.0532 3.9913
2.1540 1.9369 13.7208
2.1540 -1.9369 6.3414
2.1540 -5.0532 11.3707
2.1540 -6.1444 1.8498
2.1540 -8.9166 7.1404
2.1540 -9.6108 11.7314
2.1540 -10.3952 2.9580
```

Top 6 peaks for 2θ from 5° to 70°, in order of rising 2θ:
| d/Å | 2θ (°) | intensity |
| --- | --- | --- |
| 7.379 | 11.99 | 42.3 |
| 3.049 | 29.29 | 40.2 |
| 2.781 | 32.19 | 49.2 |
| 2.633 | 34.05 | 100.0 |
| 2.381 | 37.78 | 43.5 |
| 2.154 | 41.94 | 47.0 |

***

# 11
Diffraction record for Li2Pr3Ag3. The powder diffractogram is computed, not measured: it uses the PBE geometry in Alexandria and Cu Kα X-rays.
No peak broadening, texture or thermal motion is included.

Cell and atoms:
```
Li2Pr3Ag3
1.0
3.6541 0.0000 0.0000
0.0000 5.3144 0.0000
0.0000 0.0000 20.8682
Li Pr Ag
4 6 6
Cartesian
0.0000 0.0000 4.8741
0.0000 0.0000 15.9941
1.8271 2.6572 5.5600
1.8271 2.6572 15.3082
0.0000 0.0000 0.0000
0.0000 2.6572 2.6870
0.0000 2.6572 18.1812
1.8271 0.0000 7.7471
1.8271 0.0000 13.1211
1.8271 2.6572 10.4341
0.0000 0.0000 10.4341
0.0000 2.6572 7.6494
0.0000 2.6572 13.2188
1.8271 0.0000 2.7847
1.8271 0.0000 18.0835
1.8271 2.6572 0.0000
```

Top 6 peaks for 2θ from 5° to 70°, in order of rising 2θ:
| d/Å | 2θ (°) | intensity |
| --- | --- | --- |
| 10.434 | 8.47 | 36.9 |
| 2.893 | 30.91 | 14.5 |
| 2.657 | 33.73 | 21.7 |
| 2.608 | 34.39 | 100.0 |
| 1.524 | 60.76 | 15.1 |
| 1.506 | 61.59 | 19.8 |

***

# 12
Diffraction record for Li5PrAg6. The powder diffractogram is computed, not measured: it uses the PBE geometry in Alexandria and Cu Kα X-rays.
No peak broadening, texture or thermal motion is included.

Cell and atoms:
```
Li5PrAg6
1.0
4.7390 0.0000 0.0000
0.0000 6.6314 0.0000
-2.2375 0.0000 7.1148
Li Pr Ag
5 1 6
Cartesian
0.0000 0.0000 0.0000
0.0971 3.3157 4.6285
0.0821 0.0000 4.8438
2.4194 0.0000 2.2711
2.4044 3.3157 2.4863
0.0000 3.3157 0.0000
0.0462 1.5011 2.5302
0.0462 5.1303 2.5302
2.3695 1.4300 0.0000
2.3695 5.2014 0.0000
2.4553 1.5011 4.5846
2.4553 5.1303 4.5846
```

Top 6 peaks for 2θ from 5° to 70°, in order of rising 2θ:
| d/Å | 2θ (°) | intensity |
| --- | --- | --- |
| 3.384 | 26.34 | 25.4 |
| 3.319 | 26.86 | 45.5 |
| 2.369 | 37.98 | 100.0 |
| 2.347 | 38.36 | 46.8 |
| 1.928 | 47.13 | 16.1 |
| 1.359 | 69.09 | 19.3 |